No. 1
Calculated PXRD pattern
Compound: ErAl2Se4
Radiation: copper Kα
Structure: the GGA-PBE geometry in Alexandria
Neutral-atom scattering factors, no anomalous dispersion.

Structure:
Cell: 7.783 7.783 6.391 Å, 90.00 90.00 90.00°
Space group I4/m (No. 87)
Inequivalent atoms, fractional coordinates:
Er (0.000, 0.000, 0.000)
Al (0.000, 0.500, 0.250)
Se (0.166, 0.668, 0.000)

Main lines, by intensity (2θ from 10° to 80°):
2θ 29.2, rel. 100
2θ 18.0, rel. 53
2θ 46.6, rel. 47
2θ 27.9, rel. 31
2θ 36.5, rel. 24
2θ 50.4, rel. 22
2θ 50.2, rel. 22
2θ 32.5, rel. 20
2θ 44.3, rel. 11
2θ 77.5, rel. 11
2θ 52.6, rel. 10
2θ 66.1, rel. 10

=====

No. 2
Calculated PXRD pattern
Compound: Er2Al3Si
Radiation: copper Kα
Structure: the GGA-PBE geometry in Alexandria
Neutral-atom scattering factors, no anomalous dispersion.

Structure:
Cell: 3.796 4.310 7.458 Å, 90.00 90.00 90.00°
Space group Pmm2 (No. 25)
Inequivalent atoms, fractional coordinates:
Er (0.000, 0.000, 0.000)
Er (0.000, 0.500, 0.479)
Al (0.500, 0.000, 0.649)
Al (0.500, 0.500, 0.159)
Al (0.500, 0.500, 0.821)
Si (0.500, 0.000, 0.322)

Main lines, by intensity (2θ from 10° to 80°):
2θ 33.7, rel. 100
2θ 23.9, rel. 60
2θ 41.9, rel. 35
2θ 54.8, rel. 24
2θ 71.4, rel. 22
2θ 65.6, rel. 19
2θ 54.2, rel. 13
2θ 23.4, rel. 13
2θ 48.6, rel. 12
2θ 48.8, rel. 9
2θ 47.9, rel. 8
2θ 66.3, rel. 7